V8Ga6Ni: calculated X-ray diffraction stick pattern (Cu Kα X-rays), based on a structure optimized by DFT (GGA-PBE).
Peak positions follow from Bragg's law for the DFT cell and can differ from measured ones.

Crystal structure
```
V8Ga6Ni
1.0
3.557 2.053 5.259
-3.557 2.053 5.259
0.000 -4.107 5.259
V Ga Ni
8 6 1
Cartesian
-1.918 0.028 4.485
0.000 0.000 2.830
0.935 -1.675 4.485
-0.983 -1.647 11.291
0.983 1.647 4.485
-0.935 1.675 11.291
0.000 0.000 12.946
1.918 -0.028 11.291
-2.189 0.237 7.000
-1.299 -1.777 8.776
0.889 -2.014 7.000
-0.889 2.014 8.776
1.299 1.777 7.000
2.189 -0.237 8.776
0.000 0.000 7.888
```

Principal peaks in the range 10 to 90 degrees two-theta, in order of rising 2θ:
| 2theta | I (rel.) |
| --- | --- |
| 16.9 | 19.1 |
| 25.0 | 16.1 |
| 30.3 | 26.1 |
| 39.1 | 34.3 |
| 42.8 | 100.0 |
| 44.1 | 61.0 |
| 47.5 | 11.1 |
| 63.1 | 15.2 |
| 77.4 | 12.8 |
| 80.2 | 14.4 |

Th4ZnTc2: calculated X-ray diffraction stick pattern (Cu Kα X-rays), based on a structure optimized by DFT (GGA-PBE).
Peak positions follow from Bragg's law for the DFT cell and can differ from measured ones.

Crystal structure
```
Th4ZnTc2
1.0
6.047 -4.359 0.000
6.047 4.359 0.000
-2.754 0.000 7.163
Th Zn Tc
8 2 4
Cartesian
0.000 0.000 0.000
-1.302 0.000 3.808
1.619 2.057 4.656
2.834 1.905 1.037
2.834 -1.905 1.037
4.588 0.000 3.728
6.035 0.000 0.067
1.619 -2.057 4.656
6.269 0.000 6.312
7.791 0.000 2.623
1.547 0.000 2.651
0.468 0.000 6.241
4.476 2.134 5.659
4.476 -2.134 5.659
```

Principal peaks in the range 10 to 90 degrees two-theta, in order of rising 2θ:
| 2theta | I (rel.) |
| --- | --- |
| 25.8 | 97.0 |
| 31.7 | 79.2 |
| 31.8 | 100.0 |
| 32.4 | 87.7 |
| 32.6 | 37.3 |
| 38.7 | 46.5 |
| 40.1 | 46.5 |
| 41.4 | 43.4 |
| 47.4 | 33.1 |
| 53.1 | 51.4 |

Pr3Si2: calculated X-ray diffraction stick pattern (Cu Kα X-rays), based on a structure optimized by DFT (GGA-PBE).
Peak positions follow from Bragg's law for the DFT cell and can differ from measured ones.

Crystal structure
```
Pr3Si2
1.0
7.848 0.000 0.000
0.000 7.848 0.000
0.000 0.000 4.373
Pr Si
6 4
Cartesian
0.000 0.000 0.000
1.387 2.537 2.187
2.537 6.461 2.187
3.924 3.924 0.000
5.312 1.387 2.187
6.461 5.312 2.187
0.863 4.787 0.000
3.061 0.863 0.000
4.787 6.985 0.000
6.985 3.061 0.000
```

Principal peaks in the range 10 to 90 degrees two-theta, in order of rising 2θ:
| 2theta | I (rel.) |
| --- | --- |
| 25.4 | 41.7 |
| 25.9 | 38.3 |
| 30.6 | 100.0 |
| 32.3 | 25.4 |
| 32.7 | 90.5 |
| 36.2 | 49.8 |
| 41.3 | 24.4 |
| 52.4 | 22.6 |
| 53.8 | 31.4 |
| 56.1 | 28.0 |

U4TcMo: calculated X-ray diffraction stick pattern (Cu Kα X-rays), based on a structure optimized by DFT (GGA-PBE).
Peak positions follow from Bragg's law for the DFT cell and can differ from measured ones.

Crystal structure
```
U4TcMo
1.0
2.555 -6.952 0.000
2.555 6.952 0.000
0.000 0.000 3.125
U Tc Mo
4 1 1
Cartesian
2.555 4.674 0.000
2.555 2.317 1.563
2.555 -2.317 1.563
2.555 -4.674 0.000
0.000 0.000 1.563
2.555 0.000 0.000
```

Principal peaks in the range 10 to 90 degrees two-theta, in order of rising 2θ:
| 2theta | I (rel.) |
| --- | --- |
| 12.7 | 15.7 |
| 35.1 | 33.2 |
| 38.9 | 25.1 |
| 39.0 | 100.0 |
| 53.4 | 20.4 |
| 65.6 | 23.3 |
| 70.4 | 18.2 |
| 70.7 | 9.1 |
| 73.0 | 8.3 |
| 83.7 | 12.0 |

Mn2SiNi: calculated X-ray diffraction stick pattern (Cu Kα X-rays), based on a structure optimized by DFT (GGA-PBE).
Peak positions follow from Bragg's law for the DFT cell and can differ from measured ones.

Crystal structure
```
Mn2SiNi
1.0
2.611 0.000 0.000
0.000 3.521 0.000
0.000 0.000 5.076
Mn Si Ni
2 1 1
Cartesian
0.000 0.000 1.254
0.000 0.000 3.822
1.306 1.760 0.000
1.306 1.760 2.538
```

Principal peaks in the range 10 to 90 degrees two-theta, in order of rising 2θ:
| 2theta | I (rel.) |
| --- | --- |
| 17.5 | 13.3 |
| 30.9 | 9.1 |
| 43.1 | 100.0 |
| 44.0 | 94.1 |
| 50.1 | 62.3 |
| 51.9 | 27.8 |
| 72.4 | 9.5 |
| 74.8 | 8.6 |
| 75.1 | 34.6 |
| 88.7 | 22.0 |

Pr2Cu4Sn5: calculated X-ray diffraction stick pattern (Cu Kα X-rays), based on a structure optimized by DFT (GGA-PBE).
Peak positions follow from Bragg's law for the DFT cell and can differ from measured ones.

Crystal structure
```
Pr2Cu4Sn5
1.0
-2.224 2.224 12.756
2.224 -2.224 12.756
2.224 2.224 -12.756
Pr Cu Sn
2 4 5
Cartesian
0.000 0.000 0.000
0.000 0.000 8.148
2.224 0.000 10.490
0.000 0.000 11.614
0.000 0.000 14.004
0.000 2.224 10.490
2.224 0.000 2.738
2.224 0.000 5.648
0.000 2.224 2.738
0.000 2.224 5.648
0.000 0.000 21.784
```

Principal peaks in the range 10 to 90 degrees two-theta, in order of rising 2θ:
| 2theta | I (rel.) |
| --- | --- |
| 29.2 | 74.6 |
| 31.7 | 77.7 |
| 35.5 | 100.0 |
| 37.6 | 22.3 |
| 40.6 | 89.7 |
| 45.8 | 29.6 |
| 54.8 | 20.5 |
| 58.7 | 30.2 |
| 67.0 | 28.5 |
| 70.5 | 27.3 |

BaB2O4: calculated X-ray diffraction stick pattern (Cu Kα X-rays), based on a structure optimized by DFT (GGA-PBE).
Peak positions follow from Bragg's law for the DFT cell and can differ from measured ones.

Crystal structure
```
BaB2O4
1.0
6.335 3.657 4.361
-6.335 3.657 4.361
0.000 -7.315 4.361
Ba B O
6 12 24
Cartesian
-1.819 -3.621 4.361
-4.109 -0.272 6.542
-2.226 3.386 4.361
2.290 -3.422 6.542
4.045 0.235 4.361
1.819 3.694 6.542
-5.408 2.553 4.717
0.493 -5.960 4.717
-1.372 -0.463 3.797
1.087 -0.956 3.797
0.284 1.419 3.797
-0.927 -1.104 6.897
-0.493 1.355 6.897
1.419 -0.251 6.897
-1.087 -0.956 10.338
-0.284 1.419 10.338
1.372 -0.463 10.338
4.915 3.406 4.717
-0.896 -6.256 4.745
-2.612 -0.931 3.858
-4.521 1.566 4.642
-4.970 3.904 4.745
-0.266 -1.362 3.772
0.904 -4.698 4.642
-1.047 0.911 3.772
-1.814 -2.091 6.822
2.113 -1.797 3.858
1.313 0.451 3.772
-1.365 0.247 6.925
0.500 2.728 3.858
0.468 -1.305 6.925
-2.113 -1.797 10.400
-0.904 2.616 6.822
0.896 1.058 6.925
-1.313 0.451 10.313
2.718 -0.525 6.822
0.266 -1.362 10.313
3.616 3.132 4.642
-0.500 2.728 10.400
1.047 0.912 10.313
5.866 2.352 4.745
2.612 -0.931 10.400
```

Principal peaks in the range 10 to 90 degrees two-theta, in order of rising 2θ:
| 2theta | I (rel.) |
| --- | --- |
| 14.0 | 25.1 |
| 24.3 | 67.2 |
| 24.8 | 100.0 |
| 28.2 | 16.8 |
| 28.5 | 16.9 |
| 35.0 | 49.2 |
| 37.6 | 15.6 |
| 43.1 | 52.4 |
| 48.6 | 22.7 |
| 56.5 | 12.4 |

CaPW2: calculated X-ray diffraction stick pattern (Cu Kα X-rays), based on a structure optimized by DFT (GGA-PBE).
Peak positions follow from Bragg's law for the DFT cell and can differ from measured ones.

Crystal structure
```
CaPW2
1.0
1.686 -2.369 0.000
1.686 2.369 0.000
0.000 0.000 8.805
Ca P W
1 1 2
Cartesian
0.000 0.000 0.000
0.000 0.000 4.402
1.686 0.000 2.644
1.686 0.000 6.161
```

Principal peaks in the range 10 to 90 degrees two-theta, in order of rising 2θ:
| 2theta | I (rel.) |
| --- | --- |
| 10.0 | 46.2 |
| 20.2 | 44.6 |
| 30.5 | 33.1 |
| 32.6 | 49.5 |
| 38.0 | 37.2 |
| 38.6 | 100.0 |
| 45.2 | 38.9 |
| 49.4 | 17.5 |
| 62.7 | 25.7 |
| 69.0 | 18.0 |

Cs3YTm2S6: calculated X-ray diffraction stick pattern (Cu Kα X-rays), based on a structure optimized by DFT (GGA-PBE).
Peak positions follow from Bragg's law for the DFT cell and can differ from measured ones.

Crystal structure
```
Cs3YTm2S6
1.0
3.527 -6.110 0.000
3.527 6.110 0.000
-2.351 0.000 8.055
Cs Y Tm S
3 1 2 6
Cartesian
0.000 0.000 0.000
3.527 2.030 0.000
3.527 -2.030 0.000
2.352 0.000 4.028
2.352 4.073 4.028
2.352 -4.073 4.028
1.163 2.059 2.575
-0.026 0.000 5.478
1.163 -2.059 2.575
3.541 2.059 5.480
4.729 0.000 2.577
3.541 -2.059 5.480
```

Principal peaks in the range 10 to 90 degrees two-theta, in order of rising 2θ:
| 2theta | I (rel.) |
| --- | --- |
| 22.1 | 32.2 |
| 26.3 | 51.5 |
| 29.3 | 100.0 |
| 39.3 | 37.3 |
| 44.5 | 32.8 |
| 45.5 | 19.2 |
| 50.2 | 22.1 |
| 54.2 | 17.1 |
| 65.1 | 12.9 |
| 72.6 | 14.2 |

MgCd7Ag4: calculated X-ray diffraction stick pattern (Cu Kα X-rays), based on a structure optimized by DFT (GGA-PBE).
Peak positions follow from Bragg's law for the DFT cell and can differ from measured ones.

Crystal structure
```
MgCd7Ag4
1.0
6.327 -2.565 0.000
6.327 2.565 0.000
-5.942 0.000 8.355
Mg Cd Ag
1 7 4
Cartesian
0.000 0.000 0.000
-1.187 0.000 2.899
-2.472 0.000 7.325
1.923 0.000 3.507
6.327 0.000 0.000
4.790 0.000 4.848
9.185 0.000 1.030
7.900 0.000 5.456
-0.171 0.000 5.556
4.130 0.000 1.807
2.583 0.000 6.548
6.884 0.000 2.799
```

Principal peaks in the range 10 to 90 degrees two-theta, in order of rising 2θ:
| 2theta | I (rel.) |
| --- | --- |
| 19.3 | 22.0 |
| 30.7 | 23.4 |
| 35.0 | 72.2 |
| 35.8 | 41.8 |
| 37.9 | 100.0 |
| 40.4 | 66.6 |
| 42.7 | 24.9 |
| 50.9 | 29.4 |
| 64.7 | 23.4 |
| 66.4 | 16.0 |

Sm6Y8Zr: calculated X-ray diffraction stick pattern (Cu Kα X-rays), based on a structure optimized by DFT (GGA-PBE).
Peak positions follow from Bragg's law for the DFT cell and can differ from measured ones.

Crystal structure
```
Sm6Y8Zr
1.0
4.542 2.623 6.873
-4.542 2.623 6.873
0.000 -5.245 6.873
Sm Y Zr
6 8 1
Cartesian
-2.559 -2.080 9.448
-3.080 1.176 11.170
0.522 -3.256 11.170
-0.522 3.256 9.448
3.080 -1.176 9.448
2.559 2.080 11.170
0.000 0.000 1.586
-1.773 0.850 7.456
0.150 -1.961 7.456
-1.623 -1.110 13.162
1.623 1.110 7.456
-0.150 1.961 13.162
1.773 -0.850 13.162
0.000 0.000 19.033
0.000 0.000 10.309
```

Principal peaks in the range 10 to 90 degrees two-theta, in order of rising 2θ:
| 2theta | I (rel.) |
| --- | --- |
| 28.5 | 16.3 |
| 30.4 | 38.8 |
| 31.3 | 100.0 |
| 31.4 | 62.5 |
| 32.5 | 46.4 |
| 32.7 | 18.7 |
| 34.8 | 19.8 |
| 36.7 | 26.2 |
| 53.1 | 17.5 |
| 55.1 | 25.0 |

TbNd2NpSb4: calculated X-ray diffraction stick pattern (Cu Kα X-rays), based on a structure optimized by DFT (GGA-PBE).
Peak positions follow from Bragg's law for the DFT cell and can differ from measured ones.

Crystal structure
```
TbNd2NpSb4
1.0
7.727 0.000 0.000
0.000 4.462 0.000
-2.560 0.000 7.294
Tb Nd Np Sb
1 2 1 4
Cartesian
0.000 0.000 0.000
-1.280 2.231 3.647
2.584 0.000 3.647
3.864 2.231 0.000
1.300 2.231 1.759
0.014 0.000 5.532
5.153 0.000 1.761
3.867 2.231 5.534
```

Principal peaks in the range 10 to 90 degrees two-theta, in order of rising 2θ:
| 2theta | I (rel.) |
| --- | --- |
| 24.4 | 5.2 |
| 28.3 | 100.0 |
| 40.4 | 76.6 |
| 50.1 | 27.5 |
| 58.5 | 8.6 |
| 66.2 | 23.6 |
| 66.3 | 11.7 |
| 73.5 | 15.1 |
| 73.5 | 10.9 |
| 87.4 | 7.1 |

RbPm4F12: calculated X-ray diffraction stick pattern (Cu Kα X-rays), based on a structure optimized by DFT (GGA-PBE).
Peak positions follow from Bragg's law for the DFT cell and can differ from measured ones.

Crystal structure
```
RbPm4F12
1.0
-4.572 4.572 4.573
4.572 -4.572 4.573
4.572 4.572 -4.573
Rb Pm F
1 4 12
Cartesian
0.000 0.000 0.000
2.286 2.286 -2.286
2.286 -2.286 2.286
-2.286 2.286 2.286
2.286 2.286 2.286
4.572 -2.455 2.462
2.114 2.225 0.000
2.457 -2.347 4.573
2.457 4.572 -2.332
2.115 0.000 2.241
0.000 2.117 2.110
4.572 2.455 2.462
2.457 4.572 2.332
2.115 0.000 6.905
2.114 6.919 0.000
2.457 2.347 4.573
0.000 7.027 2.110
```

Principal peaks in the range 10 to 90 degrees two-theta, in order of rising 2θ:
| 2theta | I (rel.) |
| --- | --- |
| 13.7 | 14.0 |
| 19.4 | 100.0 |
| 27.6 | 87.8 |
| 39.4 | 38.6 |
| 44.3 | 45.8 |
| 48.8 | 39.4 |
| 57.0 | 24.1 |
| 60.8 | 21.4 |
| 64.4 | 16.9 |
| 78.2 | 20.4 |